Entry 1:
Starting from DFT lattice parameters and positions (PBE), the PXRD pattern of Li3NbS4 was calculated for Cu Kα X-rays.
Kinematic intensities with the Lorentz-polarization factor, no thermal factor.

Cell and atoms:
a b c (Å): 7.558 10.308 8.782
angles (deg): 90.00 90.00 90.00
Atoms (fractional coordinates):
Li: 0.027 0.250 0.092
Li: 0.161 0.574 0.241
Li: 0.161 0.926 0.241
Li: 0.339 0.074 0.741
Li: 0.339 0.426 0.741
Li: 0.473 0.750 0.592
Li: 0.527 0.250 0.408
Li: 0.661 0.574 0.259
Li: 0.661 0.926 0.259
Li: 0.839 0.074 0.759
Li: 0.839 0.426 0.759
Li: 0.973 0.750 0.908
Nb: 0.129 0.250 0.504
Nb: 0.371 0.750 0.004
Nb: 0.629 0.250 0.996
Nb: 0.871 0.750 0.496
S: 0.085 0.250 0.765
S: 0.131 0.750 0.619
S: 0.204 0.568 0.950
S: 0.204 0.932 0.950
S: 0.296 0.068 0.450
S: 0.296 0.432 0.450
S: 0.369 0.250 0.119
S: 0.415 0.750 0.265
S: 0.585 0.250 0.735
S: 0.631 0.750 0.881
S: 0.704 0.568 0.550
S: 0.704 0.932 0.550
S: 0.796 0.068 0.050
S: 0.796 0.432 0.050
S: 0.869 0.250 0.381
S: 0.915 0.750 0.235

Peak list (10 most intense, 10° ≤ 2θ ≤ 90°, by angle)
Position (°2θ)  I_rel  (hkl)
15.47  38  1 0 1
17.21  68  0 2 0
17.71  100  1 1 1
20.22  41  0 0 2
23.22  73  1 2 1
33.97  37  1 1 3
35.30  31  2 3 0
41.19  31  3 2 1
48.78  24  2 1 4
55.29  23  2 3 4

Entry 2:
Starting from DFT lattice parameters and positions (PBE), the PXRD pattern of Ba4CaTi5O15 was calculated for Cu Kα X-rays.
Kinematic intensities with the Lorentz-polarization factor, no thermal factor.

Cell and atoms:
a b c (Å): 4.009 4.009 20.038
angles (deg): 90.00 90.00 90.00
Atoms (fractional coordinates):
Ba: 0.000 0.000 0.100
Ba: 0.000 0.000 0.302
Ba: 0.000 0.000 0.698
Ba: 0.000 0.000 0.900
Ca: 0.000 0.000 0.500
Ti: 0.500 0.500 0.000
Ti: 0.500 0.500 0.201
Ti: 0.500 0.500 0.404
Ti: 0.500 0.500 0.596
Ti: 0.500 0.500 0.799
O: 0.000 0.500 0.000
O: 0.000 0.500 0.200
O: 0.000 0.500 0.407
O: 0.000 0.500 0.593
O: 0.000 0.500 0.800
O: 0.500 0.000 0.000
O: 0.500 0.000 0.200
O: 0.500 0.000 0.407
O: 0.500 0.000 0.593
O: 0.500 0.000 0.800
O: 0.500 0.500 0.100
O: 0.500 0.500 0.302
O: 0.500 0.500 0.500
O: 0.500 0.500 0.698
O: 0.500 0.500 0.900

Peak list (10 most intense, 10° ≤ 2θ ≤ 90°, by angle)
Position (°2θ)  I_rel  (hkl)
22.18  13  0 0 5
31.56  100  1 1 0
38.91  24  1 1 5
45.24  37  2 0 0
50.94  7  2 0 5
56.21  38  1 1 10
65.91  21  2 2 0
74.91  16  3 1 0
79.26  7  3 1 5
83.55  7  2 2 10

Entry 3:
Starting from DFT lattice parameters and positions (PBE), the PXRD pattern of P3IrO9 was calculated for Cu Kα X-rays.
Kinematic intensities with the Lorentz-polarization factor, no thermal factor.

Cell and atoms:
a b c (Å): 5.096 7.061 10.475
angles (deg): 98.38 92.42 92.53
Atoms (fractional coordinates):
P: 0.001 0.328 0.139
P: 0.024 0.962 0.682
P: 0.263 0.685 0.272
P: 0.737 0.315 0.728
P: 0.976 0.038 0.318
P: 0.999 0.672 0.861
Ir: 0.500 0.000 0.500
Ir: 0.500 0.500 0.000
O: 0.013 0.817 0.268
O: 0.042 0.128 0.190
O: 0.122 0.476 0.262
O: 0.165 0.335 0.023
O: 0.172 0.116 0.427
O: 0.291 0.652 0.880
O: 0.311 0.931 0.659
O: 0.402 0.727 0.404
O: 0.417 0.701 0.154
O: 0.583 0.299 0.846
O: 0.598 0.273 0.596
O: 0.689 0.069 0.341
O: 0.709 0.348 0.120
O: 0.828 0.884 0.573
O: 0.835 0.665 0.977
O: 0.878 0.524 0.738
O: 0.958 0.872 0.810
O: 0.987 0.183 0.732

Peak list (10 most intense, 10° ≤ 2θ ≤ 90°, by angle)
Position (°2θ)  I_rel  (hkl)
14.22  100  0 1 -1
16.34  70  0 1 1
22.40  37  1 -1 1
22.75  17  1 1 -1
23.92  32  1 0 -2
25.15  22  1 0 2
30.56  11  0 1 3
32.05  18  1 1 -3
33.02  13  0 2 2
33.51  15  1 -2 2

Please write out number 1 again, unchanged.
Starting from DFT lattice parameters and positions (PBE), the PXRD pattern of Li3NbS4 was calculated for Cu Kα X-rays.
Kinematic intensities with the Lorentz-polarization factor, no thermal factor.

Cell and atoms:
a b c (Å): 7.558 10.308 8.782
angles (deg): 90.00 90.00 90.00
Atoms (fractional coordinates):
Li: 0.027 0.250 0.092
Li: 0.161 0.574 0.241
Li: 0.161 0.926 0.241
Li: 0.339 0.074 0.741
Li: 0.339 0.426 0.741
Li: 0.473 0.750 0.592
Li: 0.527 0.250 0.408
Li: 0.661 0.574 0.259
Li: 0.661 0.926 0.259
Li: 0.839 0.074 0.759
Li: 0.839 0.426 0.759
Li: 0.973 0.750 0.908
Nb: 0.129 0.250 0.504
Nb: 0.371 0.750 0.004
Nb: 0.629 0.250 0.996
Nb: 0.871 0.750 0.496
S: 0.085 0.250 0.765
S: 0.131 0.750 0.619
S: 0.204 0.568 0.950
S: 0.204 0.932 0.950
S: 0.296 0.068 0.450
S: 0.296 0.432 0.450
S: 0.369 0.250 0.119
S: 0.415 0.750 0.265
S: 0.585 0.250 0.735
S: 0.631 0.750 0.881
S: 0.704 0.568 0.550
S: 0.704 0.932 0.550
S: 0.796 0.068 0.050
S: 0.796 0.432 0.050
S: 0.869 0.250 0.381
S: 0.915 0.750 0.235

Peak list (10 most intense, 10° ≤ 2θ ≤ 90°, by angle)
Position (°2θ)  I_rel  (hkl)
15.47  38  1 0 1
17.21  68  0 2 0
17.71  100  1 1 1
20.22  41  0 0 2
23.22  73  1 2 1
33.97  37  1 1 3
35.30  31  2 3 0
41.19  31  3 2 1
48.78  24  2 1 4
55.29  23  2 3 4

Please write out number 3 again, unchanged.
Starting from DFT lattice parameters and positions (PBE), the PXRD pattern of P3IrO9 was calculated for Cu Kα X-rays.
Kinematic intensities with the Lorentz-polarization factor, no thermal factor.

Cell and atoms:
a b c (Å): 5.096 7.061 10.475
angles (deg): 98.38 92.42 92.53
Atoms (fractional coordinates):
P: 0.001 0.328 0.139
P: 0.024 0.962 0.682
P: 0.263 0.685 0.272
P: 0.737 0.315 0.728
P: 0.976 0.038 0.318
P: 0.999 0.672 0.861
Ir: 0.500 0.000 0.500
Ir: 0.500 0.500 0.000
O: 0.013 0.817 0.268
O: 0.042 0.128 0.190
O: 0.122 0.476 0.262
O: 0.165 0.335 0.023
O: 0.172 0.116 0.427
O: 0.291 0.652 0.880
O: 0.311 0.931 0.659
O: 0.402 0.727 0.404
O: 0.417 0.701 0.154
O: 0.583 0.299 0.846
O: 0.598 0.273 0.596
O: 0.689 0.069 0.341
O: 0.709 0.348 0.120
O: 0.828 0.884 0.573
O: 0.835 0.665 0.977
O: 0.878 0.524 0.738
O: 0.958 0.872 0.810
O: 0.987 0.183 0.732

Peak list (10 most intense, 10° ≤ 2θ ≤ 90°, by angle)
Position (°2θ)  I_rel  (hkl)
14.22  100  0 1 -1
16.34  70  0 1 1
22.40  37  1 -1 1
22.75  17  1 1 -1
23.92  32  1 0 -2
25.15  22  1 0 2
30.56  11  0 1 3
32.05  18  1 1 -3
33.02  13  0 2 2
33.51  15  1 -2 2

Question: Which formula does entry 2 have?
Answer: Ba4CaTi5O15